Record 1
The following is a simulated XRD peak list of GdScGeH. It was derived from a crystal structure in OQMD, relaxed with PBE, using CuKα.
No peak broadening, texture or thermal motion is included.

Most intense lines, 5° ≤ 2θ ≤ 70°, by intensity:
2theta  I/Imax
34.8  100
30.4  60
32.4  58
26.9  52
43.6  51
56.9  48
37.6  38
10.8  23

Crystal structure
```
GdScGeH
1.0
-2.0777 2.0777 8.2188
2.0777 -2.0777 8.2188
2.0777 2.0777 -8.2188
Gd Sc Ge H
2 2 2 2
Cartesian
0.0000 0.0000 3.0105
0.0000 0.0000 13.4272
2.0777 0.0000 0.0000
0.0000 2.0777 0.0000
0.0000 0.0000 6.3099
0.0000 0.0000 10.1278
2.0777 0.0000 4.1094
0.0000 2.0777 4.1094
```



Record 2
The following is a simulated XRD peak list of LaNdB2Ir2C2. It was derived from a crystal structure in OQMD, relaxed with PBE, using CuKα.
No peak broadening, texture or thermal motion is included.

Most intense lines, 5° ≤ 2θ ≤ 70°, by intensity:
2theta  I/Imax
34.9  100
11.1  77
40.2  74
33.8  45
47.3  38
25.7  37
59.4  36
32.4  25

Crystal structure
```
LaNdB2Ir2C2
1.0
3.8437 0.0000 0.0000
0.0000 3.8437 0.0000
0.0000 0.0000 7.9467
La Nd B Ir C
1 1 2 2 2
Cartesian
0.0000 0.0000 0.0000
1.9218 1.9218 5.2526
0.0000 0.0000 3.8131
1.9218 1.9218 1.4286
0.0000 1.9218 2.6308
1.9218 0.0000 2.6308
0.0000 0.0000 5.3389
1.9218 1.9218 7.8460
```



Record 3
The following is a simulated XRD peak list of Nd2AuSe3. It was derived from a crystal structure in OQMD, relaxed with PBE, using CuKα.
No peak broadening, texture or thermal motion is included.

Most intense lines, 5° ≤ 2θ ≤ 70°, by intensity:
2theta  I/Imax
34.7  100
34.4  83
26.2  56
44.0  46
40.3  46
26.9  44
28.4  43
29.5  42

Crystal structure
```
Nd2AuSe3
1.0
8.0937 0.0000 0.0000
0.0000 4.1140 0.0000
0.0000 0.0000 18.1951
Nd Au Se
8 4 12
Cartesian
0.3788 1.0285 3.7405
1.8186 3.0855 9.1181
2.2283 1.0285 0.0205
3.6681 3.0855 12.8381
4.4257 1.0285 5.3570
5.8654 3.0855 18.1746
6.2752 1.0285 9.0770
7.7149 3.0855 14.4546
0.5675 1.0285 11.0543
3.4794 3.0855 1.9568
4.6144 1.0285 16.2383
7.5262 3.0855 7.1408
0.3994 3.0855 1.4899
1.2317 1.0285 7.0496
1.5634 1.0285 13.5159
2.4835 3.0855 4.4183
2.8152 3.0855 16.1472
3.6475 1.0285 10.5875
4.4463 3.0855 7.6076
5.2785 1.0285 2.0479
5.6102 1.0285 13.7768
6.5304 3.0855 4.6792
6.8621 3.0855 11.1455
7.6943 1.0285 16.7052
```